# Np2PaO11
Simulated X-ray diffraction stick pattern, Cu Kα X-rays. Input: a structure optimized by DFT (GGA-PBE).

Most intense lines, 2θ = 15–90°, by intensity:
h k l  2θ/deg  d (Å)  I (rel.)
2 0 2  24.8  3.590  100.0
2 1 1  21.9  4.058  67.3
2 2 0  27.2  3.274  55.9
1 2 1  24.7  3.611  46.1
0 2 2  28.1  3.180  44.6
4 2 2  44.7  2.029  32.5
1 1 2  22.7  3.925  32.2
2 3 3  46.2  1.967  28.9

abc: 10.5413 8.3543 9.8075
angles: 90.00 90.00 90.00
Space group Ima2 (No. 46)
Symmetry-distinct sites (fractional):
Np  0.2500  0.1745  0.0000
Np  0.2500  0.7060  0.9130
Pa  0.0000  0.0000  0.6935
O  0.1144  0.6060  0.0318
O  0.1183  0.6959  0.2976
O  0.1204  0.1131  0.8731
O  0.1220  0.2206  0.6094
O  0.2500  0.0205  0.2509
O  0.2500  0.0829  0.3741
O  0.2500  0.5977  0.5258

---

# Np2Pa3O9
Simulated X-ray diffraction stick pattern, Cu Kα X-rays. Input: a structure optimized by DFT (GGA-PBE).

Most intense lines, 2θ = 15–90°, by intensity:
h k l  2θ/deg  d (Å)  I (rel.)
1 0 5  28.4  3.148  100.0
2 0 0  47.1  1.928  48.1
2 1 5  55.9  1.644  47.0
1 1 0  32.9  2.726  38.6
3 0 5  76.1  1.251  19.3
3 1 10  87.7  1.113  16.4
2 0 10  58.7  1.574  11.0
2 2 10  78.4  1.219  9.9

abc: 3.8538 3.8538 27.2825
angles: 90.00 90.00 90.00
Space group I-4m2 (No. 119)
Symmetry-distinct sites (fractional):
Np  0.0000  0.0000  0.1996
Pa  0.0000  0.0000  0.0000
Pa  0.0000  0.0000  0.3981
O  0.0000  0.5000  0.0487
O  0.0000  0.5000  0.1466
O  0.0000  0.5000  0.2500
O  0.0000  0.5000  0.5510
O  0.0000  0.5000  0.6516